Entry 1:
The following is a computed X-ray diffraction stick pattern of DyFeGe2O7. It was derived from DFT lattice parameters and positions (PBE+U), using Cu Kα, 1.54184 Å.
Neutral-atom scattering factors, no anomalous dispersion.

Atomic structure:
```
data_DyFeGe2O7
_space_group_name_H-M_alt 'P 1 21/m 1'
_space_group_IT_number 11
_space_group_name_Hall '-P 2yb'
_cell_length_a 6.742
_cell_length_b 8.681
_cell_length_c 9.819
_cell_angle_alpha 90.00
_cell_angle_beta 100.60
_cell_angle_gamma 90.00
loop_
_atom_site_label
_atom_site_fract_x
_atom_site_fract_y
_atom_site_fract_z
Dy1 0.250 0.043 0.247
Fe1 0.251 0.055 0.749
Ge1 0.023 0.250 0.946
Ge2 0.046 0.750 0.533
Ge3 0.452 0.750 0.969
Ge4 0.480 0.250 0.550
O1 0.032 0.073 0.859
O2 0.040 0.586 0.641
O3 0.157 0.250 0.116
O4 0.157 0.250 0.614
O5 0.247 0.750 0.438
O6 0.251 0.750 0.066
O7 0.349 0.250 0.379
O8 0.349 0.250 0.881
O9 0.458 0.585 0.862
O10 0.472 0.073 0.640
```

Main lines, by angle (10 to 90 degrees two-theta):
| (hkl) | 2θ (°) | I (rel.) |
| --- | --- | --- |
| 1 1 2 | 26.8 | 28 |
| 0 2 2 | 27.6 | 100 |
| 2 0 -2 | 29.8 | 45 |
| 2 2 0 | 34.0 | 34 |
| 2 0 2 | 35.6 | 17 |
| 2 2 -4 | 47.2 | 18 |

***

Entry 2:
The following is a computed X-ray diffraction stick pattern of DyMnFeO5. It was derived from DFT lattice parameters and positions (PBE+U), using Cu Kα, 1.54184 Å.
Neutral-atom scattering factors, no anomalous dispersion.

Atomic structure:
```
data_DyMnFeO5
_space_group_name_H-M_alt 'P b a m'
_space_group_IT_number 55
_space_group_name_Hall '-P 2 2ab'
_cell_length_a 7.348
_cell_length_b 8.611
_cell_length_c 5.792
_cell_angle_alpha 90.00
_cell_angle_beta 90.00
_cell_angle_gamma 90.00
loop_
_atom_site_label
_atom_site_fract_x
_atom_site_fract_y
_atom_site_fract_z
Dy1 0.134 0.169 0.000
Mn1 0.000 0.500 0.249
Fe1 0.107 0.854 0.500
O1 0.000 0.000 0.267
O2 0.106 0.705 0.240
O3 0.150 0.429 0.500
O4 0.162 0.443 0.000
```

Main lines, by angle (10 to 90 degrees two-theta):
| (hkl) | 2θ (°) | I (rel.) |
| --- | --- | --- |
| 0 0 1 | 15.3 | 39 |
| 1 2 1 | 28.5 | 71 |
| 2 1 1 | 30.6 | 100 |
| 1 3 0 | 33.5 | 37 |
| 1 1 2 | 34.9 | 26 |
| 2 1 2 | 41.0 | 25 |

***

Entry 3:
The following is a computed X-ray diffraction stick pattern of Dy6Fe16O. It was derived from DFT lattice parameters and positions (PBE+U), using Cu Kα, 1.54184 Å.
Neutral-atom scattering factors, no anomalous dispersion.

Atomic structure:
```
data_Dy6Fe16O
_space_group_name_H-M_alt 'I m -3 m'
_space_group_IT_number 229
_space_group_name_Hall '-I 4 2 3'
_cell_length_a 9.438
_cell_length_b 9.438
_cell_length_c 9.438
_cell_angle_alpha 90.00
_cell_angle_beta 90.00
_cell_angle_gamma 90.00
loop_
_atom_site_label
_atom_site_fract_x
_atom_site_fract_y
_atom_site_fract_z
Dy1 0.000 0.000 0.263
Fe1 0.000 0.337 0.337
Fe2 0.250 0.250 0.250
O1 0.000 0.000 0.000
```

Main lines, by angle (10 to 90 degrees two-theta):
| (hkl) | 2θ (°) | I (rel.) |
| --- | --- | --- |
| 3 1 0 | 29.9 | 35 |
| 2 2 2 | 32.9 | 66 |
| 3 2 1 | 35.6 | 55 |
| 4 0 0 | 38.1 | 43 |
| 3 3 0 | 40.6 | 100 |
| 6 2 2 | 65.6 | 42 |

***

Entry 4:
The following is a computed X-ray diffraction stick pattern of DyFe2O4. It was derived from DFT lattice parameters and positions (PBE+U), using Cu Kα, 1.54184 Å.
Neutral-atom scattering factors, no anomalous dispersion.

Atomic structure:
```
data_DyFe2O4
_space_group_name_H-M_alt 'R -3 m'
_space_group_IT_number 166
_space_group_name_Hall '-R 3 2"'
_cell_length_a 3.5467
_cell_length_b 3.5467
_cell_length_c 25.1564
_cell_angle_alpha 90.00
_cell_angle_beta 90.00
_cell_angle_gamma 120.00
loop_
_atom_site_label
_atom_site_fract_x
_atom_site_fract_y
_atom_site_fract_z
Dy1 0.0000 0.0000 0.0000
Fe1 0.0000 0.0000 0.2132
O1 0.0000 0.0000 0.1284
O2 0.0000 0.0000 0.2919
```

Main lines, by angle (10 to 90 degrees two-theta):
| (hkl) | 2θ (°) | I (rel.) |
| --- | --- | --- |
| 0 0 3 | 10.5 | 53 |
| 1 0 1 | 29.3 | 100 |
| 1 0 4 | 32.4 | 86 |
| 0 1 5 | 34.2 | 75 |
| 1 0 10 | 46.7 | 45 |
| 1 1 0 | 51.5 | 56 |